Starting from a PBE-relaxed structure, the X-ray powder pattern of KSe3 was calculated for Cu Kα.
Neutral-atom scattering factors, no anomalous dispersion.

Principal peaks in the range 10° ≤ 2θ ≤ 90°, in order of rising 2θ:
2θ = 17.74°, 4.999 Å, intensity 733; 2θ = 20.14°, 4.409 Å, intensity 951; 2θ = 26.21°, 3.400 Å, intensity 752; 2θ = 27.70°, 3.221 Å, intensity 723; 2θ = 28.24°, 3.160 Å, intensity 783; 2θ = 28.56°, 3.126 Å, intensity 734; 2θ = 31.50°, 2.840 Å, intensity 719; 2θ = 32.91°, 2.722 Å, intensity 1000; 2θ = 45.83°, 1.980 Å, intensity 644; 2θ = 49.24°, 1.850 Å, intensity 662

Crystal structure
abc: 6.519 6.519 8.120
angles: 98.80 98.80 59.71
Positions (direct):
K1 0.107 0.107 0.232
K2 0.893 0.893 0.768
Se1 0.036 0.339 0.862
Se2 0.295 0.569 0.366
Se3 0.304 0.127 0.656
Se4 0.431 0.705 0.634
Se5 0.661 0.964 0.138
Se6 0.873 0.696 0.344

***

Starting from a PBE-relaxed structure, the X-ray powder pattern of KSe3 was calculated for Cu Kα.
Neutral-atom scattering factors, no anomalous dispersion.

Principal peaks in the range 10° ≤ 2θ ≤ 90°, in order of rising 2θ:
2θ = 16.08°, 5.513 Å, intensity 499; 2θ = 19.80°, 4.485 Å, intensity 278; 2θ = 23.07°, 3.856 Å, intensity 300; 2θ = 28.18°, 3.167 Å, intensity 1000; 2θ = 32.73°, 2.736 Å, intensity 654; 2θ = 32.85°, 2.726 Å, intensity 641; 2θ = 34.62°, 2.591 Å, intensity 364; 2θ = 38.17°, 2.357 Å, intensity 337; 2θ = 47.06°, 1.931 Å, intensity 397; 2θ = 58.49°, 1.578 Å, intensity 251

Crystal structure
abc: 6.466 6.466 8.354
angles: 109.39 109.39 50.06
Positions (direct):
K1 0.103 0.103 0.252
K2 0.897 0.897 0.748
Se1 0.207 0.117 0.691
Se2 0.360 0.440 0.296
Se3 0.368 0.360 0.979
Se4 0.560 0.640 0.704
Se5 0.640 0.632 0.021
Se6 0.883 0.793 0.309

***

Starting from a PBE-relaxed structure, the X-ray powder pattern of K2Se3 was calculated for Cu Kα.
Neutral-atom scattering factors, no anomalous dispersion.

Principal peaks in the range 10° ≤ 2θ ≤ 90°, in order of rising 2θ:
2θ = 16.50°, 5.373 Å, intensity 381; 2θ = 20.11°, 4.416 Å, intensity 637; 2θ = 27.07°, 3.294 Å, intensity 303; 2θ = 29.83°, 2.995 Å, intensity 446; 2θ = 30.85°, 2.899 Å, intensity 1000; 2θ = 32.82°, 2.729 Å, intensity 715; 2θ = 35.36°, 2.539 Å, intensity 405; 2θ = 36.95°, 2.433 Å, intensity 268; 2θ = 38.66°, 2.329 Å, intensity 238; 2θ = 54.77°, 1.676 Å, intensity 327

Crystal structure
abc: 6.606 6.606 7.752
angles: 90.00 90.00 108.87
Positions (direct):
K1 0.088 0.912 0.500
K2 0.402 0.598 0.279
K3 0.598 0.402 0.779
K4 0.912 0.088 0.000
Se1 0.092 0.412 0.650
Se2 0.293 0.707 0.832
Se3 0.412 0.092 0.150
Se4 0.588 0.908 0.650
Se5 0.707 0.293 0.332
Se6 0.908 0.588 0.150

***

Starting from a PBE-relaxed structure, the X-ray powder pattern of K5Se3 was calculated for Cu Kα.
Neutral-atom scattering factors, no anomalous dispersion.

Principal peaks in the range 10° ≤ 2θ ≤ 90°, in order of rising 2θ:
2θ = 20.93°, 4.245 Å, intensity 405; 2θ = 21.55°, 4.124 Å, intensity 301; 2θ = 28.58°, 3.123 Å, intensity 675; 2θ = 30.66°, 2.916 Å, intensity 945; 2θ = 31.77°, 2.817 Å, intensity 1000; 2θ = 32.01°, 2.796 Å, intensity 629; 2θ = 34.91°, 2.570 Å, intensity 260; 2θ = 39.98°, 2.255 Å, intensity 526; 2θ = 40.17°, 2.245 Å, intensity 369; 2θ = 59.17°, 1.561 Å, intensity 284

Crystal structure
abc: 9.727 9.727 9.727
angles: 95.81 95.81 142.89
Positions (direct):
K1 0.089 0.784 0.874
K2 0.216 0.089 0.305
K3 0.250 0.750 0.500
K4 0.275 0.591 0.866
K5 0.409 0.275 0.684
K6 0.591 0.725 0.316
K7 0.725 0.409 0.134
K8 0.750 0.250 0.500
K9 0.784 0.911 0.695
K10 0.911 0.216 0.126
Se1 0.153 0.344 0.497
Se2 0.297 0.297 0.000
Se3 0.344 0.847 0.191
Se4 0.656 0.153 0.809
Se5 0.703 0.703 0.000
Se6 0.847 0.656 0.503

***

Starting from a PBE-relaxed structure, the X-ray powder pattern of KSmSe2 was calculated for Cu Kα.
Neutral-atom scattering factors, no anomalous dispersion.

Principal peaks in the range 10° ≤ 2θ ≤ 90°, in order of rising 2θ:
2θ = 11.53°, 7.673 Å, intensity 498; 2θ = 24.17°, 3.683 Å, intensity 113; 2θ = 28.51°, 3.130 Å, intensity 1000; 2θ = 36.42°, 2.467 Å, intensity 176; 2θ = 39.55°, 2.278 Å, intensity 347; 2θ = 41.94°, 2.154 Å, intensity 363; 2θ = 43.65°, 2.074 Å, intensity 122; 2θ = 51.50°, 1.774 Å, intensity 187; 2θ = 65.12°, 1.433 Å, intensity 117; 2θ = 68.51°, 1.370 Å, intensity 156

Crystal structure
abc: 8.066 8.066 8.066
angles: 30.98 30.98 30.98
Positions (direct):
K1 0.000 0.000 0.000
Sm1 0.500 0.500 0.500
Se1 0.236 0.236 0.236
Se2 0.764 0.764 0.764

***

Starting from a PBE-relaxed structure, the X-ray powder pattern of K4SnSe4 was calculated for Cu Kα.
Neutral-atom scattering factors, no anomalous dispersion.

Principal peaks in the range 10° ≤ 2θ ≤ 90°, in order of rising 2θ:
2θ = 13.53°, 6.543 Å, intensity 1000; 2θ = 14.53°, 6.096 Å, intensity 412; 2θ = 15.85°, 5.592 Å, intensity 380; 2θ = 20.70°, 4.290 Å, intensity 406; 2θ = 26.86°, 3.319 Å, intensity 479; 2θ = 27.75°, 3.215 Å, intensity 321; 2θ = 30.22°, 2.958 Å, intensity 315; 2θ = 32.71°, 2.738 Å, intensity 339; 2θ = 34.29°, 2.615 Å, intensity 422; 2θ = 38.43°, 2.342 Å, intensity 332

Crystal structure
abc: 15.005 10.456 8.389
angles: 90.00 90.00 90.00
Positions (direct):
K1 0.000 0.000 0.000
K2 0.000 0.500 0.000
K3 0.076 0.250 0.484
K4 0.228 0.550 0.343
K5 0.228 0.950 0.343
K6 0.272 0.050 0.843
K7 0.272 0.450 0.843
K8 0.424 0.750 0.984
K9 0.500 0.000 0.500
K10 0.500 0.500 0.500
K11 0.576 0.250 0.016
K12 0.728 0.550 0.157
K13 0.728 0.950 0.157
K14 0.772 0.050 0.657
K15 0.772 0.450 0.657
K16 0.924 0.750 0.516
Sn1 0.166 0.750 0.740
Sn2 0.334 0.250 0.240
Sn3 0.666 0.750 0.760
Sn4 0.834 0.250 0.260
Se1 0.085 0.550 0.644
Se2 0.085 0.950 0.644
Se3 0.173 0.750 0.047
Se4 0.175 0.250 0.122
Se5 0.325 0.750 0.622
Se6 0.327 0.250 0.547
Se7 0.415 0.050 0.144
Se8 0.415 0.450 0.144
Se9 0.585 0.550 0.856
Se10 0.585 0.950 0.856
Se11 0.673 0.750 0.453
Se12 0.675 0.250 0.378
Se13 0.825 0.750 0.878
Se14 0.827 0.250 0.953
Se15 0.915 0.050 0.356
Se16 0.915 0.450 0.356

***

Starting from a PBE-relaxed structure, the X-ray powder pattern of KSnSe2 was calculated for Cu Kα.
Neutral-atom scattering factors, no anomalous dispersion.

Principal peaks in the range 10° ≤ 2θ ≤ 90°, in order of rising 2θ:
2θ = 15.21°, 5.827 Å, intensity 525; 2θ = 27.18°, 3.280 Å, intensity 591; 2θ = 30.69°, 2.914 Å, intensity 456; 2θ = 33.05°, 2.710 Å, intensity 1000; 2θ = 42.85°, 2.111 Å, intensity 312; 2θ = 46.77°, 1.942 Å, intensity 146; 2θ = 47.20°, 1.926 Å, intensity 210; 2θ = 49.46°, 1.843 Å, intensity 147; 2θ = 51.09°, 1.788 Å, intensity 147; 2θ = 77.99°, 1.225 Å, intensity 150

Crystal structure
abc: 6.849 6.849 6.849
angles: 106.03 106.03 116.60
Positions (direct):
K1 0.000 0.000 0.000
K2 0.500 0.500 0.000
Sn1 0.482 0.982 0.500
Sn2 0.982 0.482 0.500
Se1 0.053 0.553 0.139
Se2 0.414 0.914 0.861
Se3 0.553 0.414 0.500
Se4 0.914 0.053 0.500

***

Starting from a PBE-relaxed structure, the X-ray powder pattern of K2ZnSn2Se6 was calculated for Cu Kα.
Neutral-atom scattering factors, no anomalous dispersion.

Principal peaks in the range 10° ≤ 2θ ≤ 90°, in order of rising 2θ:
2θ = 14.92°, 5.939 Å, intensity 984; 2θ = 27.28°, 3.269 Å, intensity 1000; 2θ = 30.09°, 2.970 Å, intensity 372; 2θ = 34.45°, 2.604 Å, intensity 742; 2θ = 43.65°, 2.074 Å, intensity 522; 2θ = 45.83°, 1.980 Å, intensity 229; 2θ = 46.64°, 1.947 Å, intensity 193; 2θ = 47.71°, 1.906 Å, intensity 209; 2θ = 48.47°, 1.878 Å, intensity 215; 2θ = 51.50°, 1.774 Å, intensity 256

Crystal structure
abc: 8.399 8.399 19.909
angles: 90.00 90.00 90.00
Positions (direct):
K1 0.250 0.250 0.026
K2 0.250 0.250 0.323
K3 0.250 0.250 0.526
K4 0.250 0.250 0.823
K5 0.750 0.750 0.177
K6 0.750 0.750 0.474
K7 0.750 0.750 0.677
K8 0.750 0.750 0.974
Zn1 0.250 0.750 0.000
Zn2 0.250 0.750 0.500
Zn3 0.750 0.250 0.000
Zn4 0.750 0.250 0.500
Sn1 0.250 0.750 0.162
Sn2 0.250 0.750 0.338
Sn3 0.250 0.750 0.662
Sn4 0.250 0.750 0.838
Sn5 0.750 0.250 0.162
Sn6 0.750 0.250 0.338
Sn7 0.750 0.250 0.662
Sn8 0.750 0.250 0.838
Se1 0.074 0.595 0.081
Se2 0.074 0.905 0.581
Se3 0.088 0.588 0.750
Se4 0.088 0.912 0.250
Se5 0.095 0.574 0.419
Se6 0.095 0.926 0.919
Se7 0.405 0.574 0.919
Se8 0.405 0.926 0.419
Se9 0.412 0.588 0.250
Se10 0.412 0.912 0.750
Se11 0.426 0.595 0.581
Se12 0.426 0.905 0.081
Se13 0.574 0.095 0.919
Se14 0.574 0.405 0.419
Se15 0.588 0.088 0.250
Se16 0.588 0.412 0.750
Se17 0.595 0.074 0.581
Se18 0.595 0.426 0.081
Se19 0.905 0.074 0.081
Se20 0.905 0.426 0.581
Se21 0.912 0.088 0.750
Se22 0.912 0.412 0.250
Se23 0.926 0.095 0.419
Se24 0.926 0.405 0.919